Mg14CuCO16: theoretical PXRD pattern (Cu Kα, 1.54184 Å), based on a structure optimized by DFT (PBE).
Peak positions follow from Bragg's law for the DFT cell and can differ from measured ones.

Crystal structure
```
Mg14CuCO16
1.0
8.521 0.000 0.000
0.000 8.521 0.000
0.000 0.000 4.217
Mg Cu C O
14 1 1 16
Cartesian
0.000 2.104 0.000 Mg
0.000 4.260 2.109 Mg
0.000 6.417 0.000 Mg
2.104 0.000 0.000 Mg
2.120 2.120 2.109 Mg
2.120 6.401 2.109 Mg
2.133 4.260 0.000 Mg
4.260 0.000 2.109 Mg
4.260 2.133 0.000 Mg
4.260 6.388 0.000 Mg
6.388 4.260 0.000 Mg
6.401 2.120 2.109 Mg
6.401 6.401 2.109 Mg
6.417 0.000 0.000 Mg
4.260 4.260 2.109 Cu
0.000 0.000 2.109 C
0.000 0.000 0.000 O
0.000 2.140 2.109 O
0.000 4.260 0.000 O
0.000 6.380 2.109 O
2.095 4.260 2.109 O
2.129 2.129 0.000 O
2.129 6.392 0.000 O
2.140 0.000 2.109 O
4.260 0.000 0.000 O
4.260 2.095 2.109 O
4.260 4.260 0.000 O
4.260 6.426 2.109 O
6.380 0.000 2.109 O
6.392 2.129 0.000 O
6.392 6.392 0.000 O
6.426 4.260 2.109 O
```

Principal peaks in the range 5° ≤ 2θ ≤ 70°, sorted by position:
| 2θ (°) | intensity |
| --- | --- |
| 10.38 | 18 |
| 23.34 | 7 |
| 31.65 | 7 |
| 36.66 | 20 |
| 42.43 | 100 |
| 42.89 | 48 |
| 61.57 | 28 |
| 61.92 | 55 |

Al2O3: theoretical PXRD pattern (Cu Kα, 1.54184 Å), based on a structure optimized by DFT (PBE).
Peak positions follow from Bragg's law for the DFT cell and can differ from measured ones.

Crystal structure
```
Al2O3
1.0
4.988 0.000 0.000
-2.494 4.320 0.000
0.000 0.000 14.534
Al O
6 9
Cartesian
0.000 0.000 1.346 Al
0.000 0.000 13.187 Al
0.000 2.880 1.195 Al
0.000 2.880 12.799 Al
2.494 1.440 1.734 Al
2.494 1.440 13.338 Al
-0.810 1.404 0.000 O
-1.617 2.916 2.092 O
1.621 0.000 0.000 O
0.778 1.462 2.092 O
0.877 1.404 12.441 O
0.839 4.263 2.092 O
3.333 0.057 12.441 O
1.684 2.916 0.000 O
3.272 2.858 12.441 O
```

Principal peaks in the range 5° ≤ 2θ ≤ 70°, sorted by position:
| 2θ (°) | intensity |
| --- | --- |
| 6.08 | 100 |
| 12.18 | 2 |
| 24.50 | 2 |
| 40.69 | 1 |
| 44.04 | 2 |
| 48.07 | 2 |
| 52.67 | 1 |
| 65.09 | 1 |

Sc6ReO12: theoretical PXRD pattern (Cu Kα, 1.54184 Å), based on a structure optimized by DFT (PBE).
Peak positions follow from Bragg's law for the DFT cell and can differ from measured ones.

Crystal structure
```
Sc6ReO12
1.0
4.671 2.697 2.926
-4.671 2.697 2.926
0.000 -5.394 2.926
Sc Re O
6 1 12
Cartesian
-3.366 -0.948 4.627 Sc
-0.862 -3.389 4.151 Sc
-2.504 2.441 4.151 Sc
2.504 -2.441 4.627 Sc
0.862 3.389 4.627 Sc
3.366 0.948 4.151 Sc
0.000 0.000 4.389 Re
-3.883 0.946 3.855 O
-2.761 -2.890 4.923 O
-0.962 -1.324 3.343 O
1.122 -3.836 3.855 O
-0.666 1.496 3.343 O
-1.628 0.171 5.435 O
1.628 -0.171 3.343 O
0.666 -1.496 5.435 O
-1.122 3.836 4.923 O
0.962 1.324 5.435 O
2.761 2.890 3.855 O
3.883 -0.946 4.923 O
```

Principal peaks in the range 5° ≤ 2θ ≤ 70°, sorted by position:
| 2θ (°) | intensity |
| --- | --- |
| 14.89 | 43 |
| 23.05 | 35 |
| 24.22 | 36 |
| 30.55 | 25 |
| 30.97 | 100 |
| 35.79 | 28 |
| 51.24 | 33 |
| 51.78 | 34 |

Ho2CuGe6: theoretical PXRD pattern (Cu Kα, 1.54184 Å), based on a structure optimized by DFT (PBE).
Peak positions follow from Bragg's law for the DFT cell and can differ from measured ones.

Crystal structure
```
Ho2CuGe6
1.0
4.085 0.000 0.000
0.000 2.030 10.719
0.000 -2.030 10.719
Ho Cu Ge
2 1 6
Cartesian
0.000 0.000 0.000 Ho
0.000 0.000 7.186 Ho
2.043 0.000 16.729 Cu
0.000 0.000 12.923 Ge
0.000 0.000 15.422 Ge
2.043 0.000 2.190 Ge
2.043 0.000 4.705 Ge
2.043 0.000 9.883 Ge
2.043 0.000 19.052 Ge
```

Principal peaks in the range 5° ≤ 2θ ≤ 70°, sorted by position:
| 2θ (°) | intensity |
| --- | --- |
| 33.31 | 22 |
| 33.55 | 100 |
| 37.63 | 21 |
| 43.12 | 15 |
| 44.08 | 18 |
| 44.35 | 23 |
| 44.64 | 23 |
| 56.86 | 16 |